For AlV2Os2, DFT lattice parameters and positions (PBE) gives the computed X-ray diffraction stick pattern in this record (a wavelength of 1.5418 Å).
Lines closer than 0.1° are merged.

The 6 most intense peaks (2θ = 10–90°), most intense first:
| 2θ/deg | Rel. int. |
| --- | --- |
| 42.32 | 100 |
| 26.80 | 32 |
| 29.83 | 26 |
| 42.10 | 25 |
| 77.11 | 25 |
| 42.66 | 25 |

Structure:
a = 10.8386 Å, b = 10.8386 Å, c = 4.2393 Å
α = 90.00°, β = 90.00°, γ = 163.96°
Sites, in units of the cell vectors:
Al 0.1506 0.8494 0.7500
Al 0.8494 0.1506 0.2500
V 0.0509 0.9491 0.2500
V 0.2455 0.7545 0.2500
V 0.7545 0.2455 0.7500
V 0.9491 0.0509 0.7500
Os 0.3511 0.6489 0.7500
Os 0.4522 0.5478 0.2500
Os 0.5478 0.4522 0.7500
Os 0.6489 0.3511 0.2500